Record 1
ErTmSiGeOs: simulated X-ray powder pattern (Cu Ka), based on a PBE-relaxed structure.

```
ErTmSiGeOs
1.0
5.289 -2.105 0.000
5.289 2.105 0.000
-4.748 0.000 8.829
Er Tm Si Ge Os
2 2 2 2 2
Direct
0.007 0.007 0.174 Er
0.993 0.993 0.826 Er
0.185 0.185 0.617 Tm
0.815 0.815 0.383 Tm
0.358 0.358 0.940 Si
0.642 0.642 0.060 Si
0.485 0.485 0.624 Ge
0.515 0.515 0.376 Ge
0.267 0.267 0.125 Os
0.733 0.733 0.875 Os
```

Most intense lines, 2θ = 10–90°, by angle:
| 2theta | d (Å) | intensity |
| --- | --- | --- |
| 27.7 | 3.224 | 32 |
| 33.8 | 2.651 | 100 |
| 37.3 | 2.412 | 54 |
| 40.9 | 2.207 | 38 |
| 41.1 | 2.195 | 33 |
| 43.0 | 2.105 | 36 |

Record 2
Pt11W3: simulated X-ray powder pattern (Cu Ka), based on a PBE-relaxed structure.

```
Pt11W3
1.0
4.577 0.000 0.000
0.000 9.734 2.426
0.000 -9.734 2.426
Pt W
11 3
Direct
0.000 0.000 0.000 Pt
0.000 0.301 0.730 Pt
0.000 0.445 0.587 Pt
0.000 0.587 0.445 Pt
0.000 0.730 0.301 Pt
0.500 0.116 0.257 Pt
0.500 0.257 0.116 Pt
0.500 0.396 0.972 Pt
0.500 0.556 0.839 Pt
0.500 0.839 0.556 Pt
0.500 0.972 0.396 Pt
0.000 0.162 0.873 W
0.000 0.873 0.162 W
0.500 0.686 0.686 W
```

Most intense lines, 2θ = 10–90°, by angle:
| 2theta | d (Å) | intensity |
| --- | --- | --- |
| 37.3 | 2.413 | 27 |
| 39.4 | 2.288 | 42 |
| 42.2 | 2.144 | 55 |
| 42.3 | 2.134 | 100 |
| 73.4 | 1.289 | 20 |
| 80.5 | 1.193 | 21 |